For Tm2PaSe4, the PBE geometry in Alexandria gives the calculated X-ray diffraction stick pattern in this record (Cu Kα (λ = 1.5418 Å)).
Peak positions follow from Bragg's law for the DFT cell and can differ from measured ones.

Crystal structure
```
data_Tm2PaSe4
_chemical_formula_sum 'Tm2 Pa1 Se4'
_space_group_name_H-M_alt 'P 3 m 1'
_space_group_IT_number 156
_space_group_name_Hall 'P 3 -2"'
_cell_length_a 4.1373
_cell_length_b 4.1373
_cell_length_c 15.2528
_cell_angle_alpha 90.00
_cell_angle_beta 90.00
_cell_angle_gamma 120.00
loop_
_atom_site_label
_atom_site_type_symbol
_atom_site_fract_x
_atom_site_fract_y
_atom_site_fract_z
Tm1 Tm 0.0000 0.0000 0.0000
Tm2 Tm 0.3333 0.6667 0.2802
Pa1 Pa 0.6667 0.3333 0.5692
Se1 Se 0.0000 0.0000 0.1792
Se2 Se 0.0000 0.0000 0.6700
Se3 Se 0.6667 0.3333 0.3803
Se4 Se 0.6667 0.3333 0.9198
```

Peak list (10 most intense, 10 to 80 degrees two-theta, by angle)
d = 5.084 Å, intensity 64, hkl 0 0 3
d = 3.488 Å, intensity 100, hkl 0 1 1
d = 3.243 Å, intensity 72, hkl 0 1 2
d = 2.929 Å, intensity 27, hkl 1 0 3
d = 2.611 Å, intensity 50, hkl 0 1 4
d = 2.323 Å, intensity 49, hkl 0 1 5
d = 2.073 Å, intensity 63, hkl 1 0 6
d = 2.069 Å, intensity 66, hkl 1 1 0
d = 1.916 Å, intensity 29, hkl 1 1 3
d = 1.464 Å, intensity 21, hkl 0 2 6